[1]
The following is a calculated powder XRD pattern of DyU2Mn9. It was derived from a PBE-relaxed structure, using Cu Ka.
Intensities are scaled so that the largest is 100.

Cell: 8.269 8.269 5.083 Å, 90.00 90.00 90.00°
Positions (direct):
Dy 0.000 0.000 0.000
Dy 0.500 0.500 0.000
U 0.111 0.389 0.000
U 0.389 0.889 0.000
U 0.611 0.111 0.000
U 0.889 0.611 0.000
Mn 0.000 0.500 0.500
Mn 0.068 0.208 0.500
Mn 0.184 0.684 0.248
Mn 0.184 0.684 0.752
Mn 0.208 0.932 0.500
Mn 0.292 0.432 0.500
Mn 0.316 0.184 0.248
Mn 0.316 0.184 0.752
Mn 0.432 0.708 0.500
Mn 0.500 0.000 0.500
Mn 0.568 0.292 0.500
Mn 0.684 0.816 0.248
Mn 0.684 0.816 0.752
Mn 0.708 0.568 0.500
Mn 0.792 0.068 0.500
Mn 0.816 0.316 0.248
Mn 0.816 0.316 0.752
Mn 0.932 0.792 0.500

Most intense lines, 2θ = 10–80°, in order of rising 2θ:
Position (°2θ)	intensity
17.45	25.1
24.07	17.0
29.88	27.9
34.30	17.0
35.32	19.8
38.73	57.7
39.29	14.3
41.72	19.7
43.24	100.0
45.22	17.4
59.87	17.6
68.66	18.3

***

[2]
The following is a calculated powder XRD pattern of NdDy7Y2. It was derived from a PBE-relaxed structure, using Cu Ka.
Intensities are scaled so that the largest is 100.

Cell: 6.165 6.169 9.424 Å, 102.57 109.04 99.64°
Positions (direct):
Nd 0.000 0.000 0.000
Dy 0.000 0.500 0.500
Dy 0.199 0.000 0.401
Dy 0.201 0.500 0.899
Dy 0.398 0.999 0.798
Dy 0.602 0.001 0.202
Dy 0.799 0.500 0.101
Dy 0.801 0.000 0.599
Y 0.400 0.502 0.301
Y 0.600 0.498 0.699

Most intense lines, 2θ = 10–80°, in order of rising 2θ:
Position (°2θ)	intensity
15.24	1.9
15.74	0.7
20.86	0.7
29.40	0.8
30.75	100.0
35.65	50.5
51.30	35.9
61.00	35.4
61.07	7.0
64.04	12.2
75.47	3.8
75.56	1.9

***

[3]
The following is a calculated powder XRD pattern of TbPtAu2. It was derived from a PBE-relaxed structure, using Cu Ka.
Intensities are scaled so that the largest is 100.

Cell: 6.815 6.815 6.815 Å, 90.00 90.00 90.00°
Positions (direct):
Tb 0.000 0.000 0.000
Tb 0.000 0.500 0.500
Tb 0.500 0.000 0.500
Tb 0.500 0.500 0.000
Pt 0.000 0.000 0.500
Pt 0.000 0.500 0.000
Pt 0.500 0.000 0.000
Pt 0.500 0.500 0.500
Au 0.250 0.250 0.250
Au 0.250 0.250 0.750
Au 0.250 0.750 0.250
Au 0.250 0.750 0.750
Au 0.750 0.250 0.250
Au 0.750 0.250 0.750
Au 0.750 0.750 0.250
Au 0.750 0.750 0.750

Most intense lines, 2θ = 10–80°, in order of rising 2θ:
Position (°2θ)	intensity
37.32	100.0
53.80	17.6
67.31	36.3
79.57	11.5

***

[4]
The following is a calculated powder XRD pattern of Rb3USe4. It was derived from a PBE-relaxed structure, using Cu Ka.
Intensities are scaled so that the largest is 100.

Cell: 8.455 9.510 7.676 Å, 90.00 109.31 90.00°
Positions (direct):
Rb 0.000 0.112 0.250
Rb 0.000 0.380 0.750
Rb 0.000 0.620 0.250
Rb 0.000 0.888 0.750
Rb 0.500 0.387 0.250
Rb 0.500 0.613 0.750
U 0.500 0.116 0.750
U 0.500 0.884 0.250
Se 0.286 0.315 0.552
Se 0.286 0.685 0.052
Se 0.317 0.096 0.000
Se 0.317 0.904 0.500
Se 0.683 0.096 0.500
Se 0.683 0.904 0.000
Se 0.714 0.315 0.948
Se 0.714 0.685 0.448

Most intense lines, 2θ = 10–80°, in order of rising 2θ:
Position (°2θ)	intensity
11.09	41.0
14.49	15.1
15.38	14.5
16.43	14.3
23.12	14.4
26.81	100.0
27.24	52.3
34.62	15.3
37.10	33.2
37.83	18.5
38.71	16.2
40.03	32.8

***

[5]
The following is a calculated powder XRD pattern of HoTm4Te5. It was derived from a PBE-relaxed structure, using Cu Ka.
Intensities are scaled so that the largest is 100.

Cell: 7.458 7.458 7.458 Å, 99.63 99.63 131.73°
Positions (direct):
Ho 0.000 0.000 0.000
Tm 0.209 0.399 0.602
Tm 0.399 0.797 0.190
Tm 0.607 0.209 0.810
Tm 0.797 0.607 0.398
Te 0.100 0.698 0.792
Te 0.308 0.100 0.402
Te 0.500 0.500 0.000
Te 0.698 0.906 0.598
Te 0.906 0.308 0.208

Most intense lines, 2θ = 10–80°, in order of rising 2θ:
Position (°2θ)	intensity
25.32	4.0
29.32	100.0
36.75	0.6
41.95	75.5
49.64	2.2
52.00	26.8
60.74	4.2
60.87	8.2
66.97	1.1
68.91	22.9
68.99	11.2
76.63	25.1